No. 1
Starting from a DFT-relaxed cell (GGA-PBE, Alexandria), the powder diffractogram of KRb2Na was computed for a wavelength of 1.5418 Å.
Lines closer than 0.1° are merged.

Structural model:
Cell lengths 9.749, 9.749, 9.749 Å; angles 152.84, 134.17, 54.09 degrees
Fractional positions:
K  0.000  0.000  0.000
Rb  0.277  0.277  0.000
Rb  0.723  0.723  0.000
Na  0.500  0.500  0.000

Largest 6 diffraction maxima, by angle, 5 to 70 degrees two-theta:
Position (°2θ)	d/Å	I_rel
10.19	8.683	47
20.46	4.341	45
22.68	3.920	100
23.43	3.796	46
30.73	2.909	64
31.30	2.858	31



No. 2
Starting from a DFT-relaxed cell (GGA-PBE, Alexandria), the powder diffractogram of PaHg2 was computed for a wavelength of 1.5418 Å.
Lines closer than 0.1° are merged.

Structural model:
Cell lengths 7.082, 7.082, 7.082 Å; angles 153.17, 153.17, 38.30 degrees
Fractional positions:
Pa  0.000  0.000  0.000
Hg  0.329  0.329  0.000
Hg  0.671  0.671  0.000

Largest 6 diffraction maxima, by angle, 5 to 70 degrees two-theta:
Position (°2θ)	d/Å	I_rel
33.89	2.645	100
38.76	2.323	35
40.45	2.230	15
57.27	1.609	23
67.07	1.396	29
69.39	1.354	13



No. 3
Starting from a DFT-relaxed cell (GGA-PBE, Alexandria), the powder diffractogram of SrLi2PaCl8 was computed for a wavelength of 1.5418 Å.
Lines closer than 0.1° are merged.

Structural model:
Cell lengths 6.282, 6.294, 8.748 Å; angles 89.85, 89.84, 86.64 degrees
Fractional positions:
Sr  0.000  0.000  0.000
Li  0.499  0.499  0.190
Li  0.501  0.501  0.810
Pa  0.000  0.000  0.500
Cl  0.212  0.794  0.269
Cl  0.213  0.794  0.731
Cl  0.280  0.286  0.499
Cl  0.309  0.315  0.000
Cl  0.691  0.685  0.000
Cl  0.720  0.714  0.501
Cl  0.787  0.206  0.269
Cl  0.788  0.206  0.731

Largest 6 diffraction maxima, by angle, 5 to 70 degrees two-theta:
Position (°2θ)	d/Å	I_rel
14.11	6.277	100
17.39	5.100	36
19.40	4.575	35
24.81	3.589	36
29.07	3.071	71
31.10	2.876	36



No. 4
Starting from a DFT-relaxed cell (GGA-PBE, Alexandria), the powder diffractogram of PrZn2Rh2 was computed for a wavelength of 1.5418 Å.
Lines closer than 0.1° are merged.

Structural model:
Cell lengths 11.249, 11.249, 11.249 Å; angles 158.74, 158.74, 30.24 degrees
Fractional positions:
Pr  0.130  0.130  0.000
Pr  0.870  0.870  0.000
Zn  0.000  0.500  0.500
Zn  0.317  0.317  0.000
Zn  0.500  0.000  0.500
Zn  0.683  0.683  0.000
Rh  0.250  0.750  0.500
Rh  0.432  0.432  0.000
Rh  0.568  0.568  0.000
Rh  0.750  0.250  0.500

Largest 6 diffraction maxima, by angle, 5 to 70 degrees two-theta:
Position (°2θ)	d/Å	I_rel
34.75	2.581	100
36.15	2.485	45
43.63	2.075	56
45.52	1.993	18
57.90	1.593	22
63.40	1.467	18



No. 5
Starting from a DFT-relaxed cell (GGA-PBE, Alexandria), the powder diffractogram of Tc3B2 was computed for a wavelength of 1.5418 Å.
Lines closer than 0.1° are merged.

Structural model:
Cell lengths 4.766, 4.766, 4.766 Å; angles 143.51, 118.67, 73.52 degrees
Fractional positions:
Tc  0.000  0.000  0.000
Tc  0.304  0.804  0.500
Tc  0.696  0.196  0.500
B  0.321  0.500  0.821
B  0.679  0.500  0.179

Largest 6 diffraction maxima, by angle, 5 to 70 degrees two-theta:
Position (°2θ)	d/Å	I_rel
32.21	2.779	37
36.98	2.431	47
39.98	2.255	62
42.72	2.116	100
49.84	1.830	29
68.66	1.367	14



No. 6
Starting from a DFT-relaxed cell (GGA-PBE, Alexandria), the powder diffractogram of Sm4DySc was computed for a wavelength of 1.5418 Å.
Lines closer than 0.1° are merged.

Structural model:
Cell lengths 6.142, 6.142, 6.158 Å; angles 99.58, 99.58, 119.81 degrees
Fractional positions:
Sm  0.164  0.836  0.000
Sm  0.333  0.667  0.500
Sm  0.667  0.333  0.500
Sm  0.836  0.164  0.000
Dy  0.500  0.500  0.000
Sc  0.000  0.000  0.500

Largest 6 diffraction maxima, by angle, 5 to 70 degrees two-theta:
Position (°2θ)	d/Å	I_rel
30.78	2.905	100
30.88	2.896	99
35.75	2.512	100
51.41	1.777	35
61.13	1.516	35
61.30	1.512	28



No. 7
Starting from a DFT-relaxed cell (GGA-PBE, Alexandria), the powder diffractogram of Cs5Ti2I12 was computed for a wavelength of 1.5418 Å.
Lines closer than 0.1° are merged.

Structural model:
Cell lengths 11.369, 11.369, 12.726 Å; angles 106.25, 106.25, 43.91 degrees
Fractional positions:
Cs  0.000  0.000  0.000
Cs  0.310  0.310  0.127
Cs  0.310  0.310  0.658
Cs  0.690  0.690  0.342
Cs  0.690  0.690  0.873
Ti  0.242  0.758  0.500
Ti  0.758  0.242  0.500
I  0.002  0.002  0.347
I  0.093  0.597  0.905
I  0.112  0.616  0.428
I  0.384  0.888  0.572
I  0.403  0.907  0.095
I  0.499  0.499  0.649
I  0.501  0.501  0.351
I  0.597  0.093  0.905
I  0.616  0.112  0.428
I  0.888  0.384  0.572
I  0.907  0.403  0.095
I  0.998  0.998  0.653

Largest 6 diffraction maxima, by angle, 5 to 70 degrees two-theta:
Position (°2θ)	d/Å	I_rel
16.85	5.260	47
17.41	5.094	46
25.59	3.481	79
26.60	3.351	59
27.48	3.245	75
28.55	3.126	100



No. 8
Starting from a DFT-relaxed cell (GGA-PBE, Alexandria), the powder diffractogram of Sm7FeI12 was computed for a wavelength of 1.5418 Å.
Lines closer than 0.1° are merged.

Structural model:
Cell lengths 9.908, 9.908, 9.908 Å; angles 106.83, 106.83, 106.83 degrees
Fractional positions:
Sm  0.000  0.000  0.000
Sm  0.209  0.479  0.406
Sm  0.406  0.209  0.479
Sm  0.479  0.406  0.209
Sm  0.521  0.594  0.791
Sm  0.594  0.791  0.521
Sm  0.791  0.521  0.594
Fe  0.500  0.500  0.500
I  0.037  0.116  0.341
I  0.116  0.341  0.037
I  0.179  0.572  0.725
I  0.275  0.821  0.428
I  0.341  0.037  0.116
I  0.428  0.275  0.821
I  0.572  0.725  0.179
I  0.659  0.963  0.884
I  0.725  0.179  0.572
I  0.821  0.428  0.275
I  0.884  0.659  0.963
I  0.963  0.884  0.659

Largest 6 diffraction maxima, by angle, 5 to 70 degrees two-theta:
Position (°2θ)	d/Å	I_rel
11.12	7.956	25
24.63	3.615	13
28.33	3.151	100
40.08	2.250	34
40.90	2.207	35
50.50	1.807	18



No. 9
Starting from a DFT-relaxed cell (GGA-PBE, Alexandria), the powder diffractogram of LiDy2Co was computed for a wavelength of 1.5418 Å.
Lines closer than 0.1° are merged.

Structural model:
Cell lengths 8.481, 8.481, 8.481 Å; angles 26.10, 26.10, 26.10 degrees
Fractional positions:
Li  0.000  0.000  0.000
Dy  0.557  0.557  0.557
Dy  0.772  0.772  0.772
Co  0.164  0.164  0.164

Largest 6 diffraction maxima, by angle, 5 to 70 degrees two-theta:
Position (°2θ)	d/Å	I_rel
10.81	8.187	100
27.12	3.288	30
30.63	2.919	35
32.57	2.749	79
45.97	1.974	25
47.47	1.915	29



Copy entry 2 word for word.
Starting from a DFT-relaxed cell (GGA-PBE, Alexandria), the powder diffractogram of PaHg2 was computed for a wavelength of 1.5418 Å.
Lines closer than 0.1° are merged.

Structural model:
Cell lengths 7.082, 7.082, 7.082 Å; angles 153.17, 153.17, 38.30 degrees
Fractional positions:
Pa  0.000  0.000  0.000
Hg  0.329  0.329  0.000
Hg  0.671  0.671  0.000

Largest 6 diffraction maxima, by angle, 5 to 70 degrees two-theta:
Position (°2θ)	d/Å	I_rel
33.89	2.645	100
38.76	2.323	35
40.45	2.230	15
57.27	1.609	23
67.07	1.396	29
69.39	1.354	13